No. 1
Theoretical PXRD pattern
Compound: Pm2Cd3Ni2
Radiation: Cu Kα
Structure: a GGA-PBE-relaxed structure

Crystal structure
a b c (Å): 5.4870 5.4870 7.4310
angles (deg): 95.98 95.98 42.97
Sites, in units of the cell vectors:
Pm1 0.1254 0.1254 0.3545
Pm2 0.8746 0.8746 0.6455
Cd1 0.1837 0.1837 0.8580
Cd2 0.5000 0.5000 0.0000
Cd3 0.8163 0.8163 0.1420
Ni1 0.4199 0.4199 0.3654
Ni2 0.5801 0.5801 0.6346

The 6 most intense peaks (5 to 70 degrees two-theta), in order of rising 2θ:
Position (°2θ)	d/Å	I_rel
31.5	2.838	32
33.4	2.682	100
34.7	2.588	66
37.8	2.379	33
40.8	2.210	31
45.1	2.009	31

***

No. 2
Theoretical PXRD pattern
Compound: Ba3TiAs3
Radiation: Cu Kα
Structure: a GGA-PBE-relaxed structure

Crystal structure
a b c (Å): 10.5766 10.5766 13.4545
angles (deg): 90.00 90.00 38.97
Sites, in units of the cell vectors:
Ba1 0.0075 0.6398 0.1336
Ba2 0.1398 0.5075 0.6336
Ba3 0.1587 0.8413 0.8412
Ba4 0.3413 0.6587 0.3412
Ba5 0.3602 0.9925 0.1336
Ba6 0.4925 0.8602 0.6336
Ba7 0.5075 0.1398 0.3664
Ba8 0.6398 0.0075 0.8664
Ba9 0.6587 0.3413 0.6588
Ba10 0.8413 0.1587 0.1588
Ba11 0.8602 0.4925 0.3664
Ba12 0.9925 0.3602 0.8664
Ti1 0.0826 0.0826 0.5000
Ti2 0.4174 0.4174 0.0000
Ti3 0.5826 0.5826 0.0000
Ti4 0.9174 0.9174 0.5000
As1 0.0322 0.6567 0.3832
As2 0.1567 0.5322 0.8832
As3 0.2095 0.7905 0.5935
As4 0.2905 0.7095 0.0935
As5 0.3433 0.9678 0.3832
As6 0.4678 0.8433 0.8832
As7 0.5322 0.1567 0.1168
As8 0.6567 0.0322 0.6168
As9 0.7095 0.2905 0.9065
As10 0.7905 0.2095 0.4065
As11 0.8433 0.4678 0.1168
As12 0.9678 0.3433 0.6168

The 6 most intense peaks (5 to 70 degrees two-theta), in order of rising 2θ:
Position (°2θ)	d/Å	I_rel
25.2	3.528	49
26.5	3.363	100
26.8	3.324	99
27.6	3.229	67
37.2	2.420	64
38.1	2.364	83

***

No. 3
Theoretical PXRD pattern
Compound: Dy5CdSb2
Radiation: Cu Kα
Structure: a GGA-PBE-relaxed structure

Crystal structure
a b c (Å): 6.3988 6.3988 14.8534
angles (deg): 90.00 90.00 128.40
Sites, in units of the cell vectors:
Dy1 0.0713 0.9287 0.5977
Dy2 0.0713 0.9287 0.9023
Dy3 0.3787 0.6213 0.5518
Dy4 0.3787 0.6213 0.9482
Dy5 0.4063 0.5937 0.2500
Dy6 0.5937 0.4063 0.7500
Dy7 0.6213 0.3787 0.0518
Dy8 0.6213 0.3787 0.4482
Dy9 0.9287 0.0713 0.0977
Dy10 0.9287 0.0713 0.4023
Cd1 0.2931 0.7069 0.7500
Cd2 0.7069 0.2931 0.2500
Sb1 0.2064 0.7936 0.1103
Sb2 0.2064 0.7936 0.3897
Sb3 0.7936 0.2064 0.6103
Sb4 0.7936 0.2064 0.8897

The 6 most intense peaks (5 to 70 degrees two-theta), in order of rising 2θ:
Position (°2θ)	d/Å	I_rel
29.9	2.984	45
31.6	2.828	21
32.1	2.785	49
33.6	2.665	100
36.3	2.476	17
58.3	1.584	21

***

No. 4
Theoretical PXRD pattern
Compound: SnOs3N
Radiation: Cu Kα
Structure: a GGA-PBE-relaxed structure

Crystal structure
a b c (Å): 4.1361 4.1361 4.1361
angles (deg): 90.00 90.00 90.00
Sites, in units of the cell vectors:
Sn1 0.0000 0.0000 0.0000
Os1 0.0000 0.5000 0.5000
Os2 0.5000 0.0000 0.5000
Os3 0.5000 0.5000 0.0000
N1 0.5000 0.5000 0.5000

The 6 most intense peaks (5 to 70 degrees two-theta), in order of rising 2θ:
Position (°2θ)	d/Å	I_rel
21.5	4.136	5
30.6	2.925	1
37.7	2.388	100
43.8	2.068	53
49.3	1.850	2
63.6	1.462	36

***

No. 5
Theoretical PXRD pattern
Compound: CaMn28
Radiation: Cu Kα
Structure: a GGA-PBE-relaxed structure

Crystal structure
a b c (Å): 7.5771 7.5771 7.5771
angles (deg): 109.47 109.47 109.47
Sites, in units of the cell vectors:
Ca1 0.0000 0.0000 0.0000
Mn1 0.0000 0.0000 0.6265
Mn2 0.0000 0.2011 0.3809
Mn3 0.0000 0.3809 0.2011
Mn4 0.0000 0.3900 0.6780
Mn5 0.0000 0.6265 0.0000
Mn6 0.0000 0.6780 0.3900
Mn7 0.1798 0.7989 0.7989
Mn8 0.2011 0.0000 0.3809
Mn9 0.2011 0.3809 0.0000
Mn10 0.2880 0.6100 0.6100
Mn11 0.3220 0.3220 0.7120
Mn12 0.3220 0.7120 0.3220
Mn13 0.3735 0.3735 0.3735
Mn14 0.3809 0.0000 0.2011
Mn15 0.3809 0.2011 0.0000
Mn16 0.3900 0.0000 0.6780
Mn17 0.3900 0.6780 0.0000
Mn18 0.6100 0.2880 0.6100
Mn19 0.6100 0.6100 0.2880
Mn20 0.6191 0.6191 0.8202
Mn21 0.6191 0.8202 0.6191
Mn22 0.6265 0.0000 0.0000
Mn23 0.6780 0.0000 0.3900
Mn24 0.6780 0.3900 0.0000
Mn25 0.7120 0.3220 0.3220
Mn26 0.7989 0.1798 0.7989
Mn27 0.7989 0.7989 0.1798
Mn28 0.8202 0.6191 0.6191

The 6 most intense peaks (5 to 70 degrees two-theta), in order of rising 2θ:
Position (°2θ)	d/Å	I_rel
14.3	6.187	2
41.3	2.187	6
43.9	2.062	100
48.8	1.865	23
51.1	1.786	8
53.4	1.716	18

***

No. 6
Theoretical PXRD pattern
Compound: CaAc12Si6
Radiation: Cu Kα
Structure: a GGA-PBE-relaxed structure

Crystal structure
a b c (Å): 9.6661 9.6661 9.6661
angles (deg): 109.47 109.47 109.47
Sites, in units of the cell vectors:
Ca1 0.0000 0.0000 0.0000
Ac1 0.1148 0.8088 0.3059
Ac2 0.1912 0.3059 0.4971
Ac3 0.1912 0.6941 0.8852
Ac4 0.3059 0.1148 0.8088
Ac5 0.3059 0.4971 0.1912
Ac6 0.4971 0.1912 0.3059
Ac7 0.5029 0.8088 0.6941
Ac8 0.6941 0.5029 0.8088
Ac9 0.6941 0.8852 0.1912
Ac10 0.8088 0.3059 0.1148
Ac11 0.8088 0.6941 0.5029
Ac12 0.8852 0.1912 0.6941
Si1 0.1077 0.6077 0.5000
Si2 0.3923 0.5000 0.8923
Si3 0.5000 0.1077 0.6077
Si4 0.5000 0.8923 0.3923
Si5 0.6077 0.5000 0.1077
Si6 0.8923 0.3923 0.5000

The 6 most intense peaks (5 to 70 degrees two-theta), in order of rising 2θ:
Position (°2θ)	d/Å	I_rel
22.5	3.946	27
25.2	3.530	93
27.7	3.222	56
30.0	2.983	100
47.5	1.914	61
50.4	1.811	55

***

No. 7
Theoretical PXRD pattern
Compound: LiCuSbSe3
Radiation: Cu Kα
Structure: a GGA-PBE-relaxed structure

Crystal structure
a b c (Å): 8.3139 3.9828 9.1529
angles (deg): 90.00 106.81 90.00
Sites, in units of the cell vectors:
Li1 0.2166 0.2500 0.1744
Li2 0.7834 0.7500 0.8256
Cu1 0.4136 0.7500 0.4323
Cu2 0.5864 0.2500 0.5677
Sb1 0.2881 0.7500 0.8437
Sb2 0.7119 0.2500 0.1563
Se1 0.0721 0.2500 0.8714
Se2 0.2805 0.2500 0.4762
Se3 0.4287 0.7500 0.1438
Se4 0.5713 0.2500 0.8562
Se5 0.7195 0.7500 0.5238
Se6 0.9279 0.7500 0.1286

The 6 most intense peaks (5 to 70 degrees two-theta), in order of rising 2θ:
Position (°2θ)	d/Å	I_rel
11.1	7.959	76
20.1	4.415	67
30.6	2.921	82
31.3	2.856	100
31.8	2.815	57
47.1	1.931	60

***

No. 8
Theoretical PXRD pattern
Compound: Tl3In5Se8
Radiation: Cu Kα
Structure: a GGA-PBE-relaxed structure

Crystal structure
a b c (Å): 8.2279 8.2279 6.9389
angles (deg): 90.00 90.00 90.00
Sites, in units of the cell vectors:
Tl1 0.0000 0.0000 0.0000
Tl2 0.0000 0.0000 0.5000
Tl3 0.5000 0.5000 0.0000
In1 0.0000 0.5000 0.0000
In2 0.0000 0.5000 0.5000
In3 0.5000 0.0000 0.0000
In4 0.5000 0.0000 0.5000
In5 0.5000 0.5000 0.5000
Se1 0.1729 0.3286 0.7495
Se2 0.1729 0.6714 0.2505
Se3 0.3286 0.1729 0.2505
Se4 0.3286 0.8271 0.7495
Se5 0.6714 0.1729 0.7495
Se6 0.6714 0.8271 0.2505
Se7 0.8271 0.3286 0.2505
Se8 0.8271 0.6714 0.7495

The 6 most intense peaks (5 to 70 degrees two-theta), in order of rising 2θ:
Position (°2θ)	d/Å	I_rel
21.6	4.114	44
27.4	3.251	33
30.7	2.909	52
33.8	2.652	100
40.5	2.229	25
51.7	1.769	26